No. 1
Diffraction record for Mn2Fe3SbP6O24. The XRD peak list is computed, not measured: it uses a GGA+U-relaxed structure and CuKα.
Lines closer than 0.1° are merged.

Crystal structure
Cell lengths 8.6770, 8.6770, 21.3438 Å; angles 90.00, 90.00, 120.00 degrees
Space group R3 (No. 146, hexagonal axes)
Inequivalent atoms, fractional coordinates:
Mn 0.0000 0.0000 0.0000 x3
Mn 0.0000 0.0000 0.4927 x3
Fe 0.0000 0.0000 0.1456 x3
Fe 0.0000 0.0000 0.3526 x3
Fe 0.0000 0.0000 0.8546 x3
Sb 0.0000 0.0000 0.6437 x3
P 0.0020 0.2965 0.7509 x9
P 0.0431 0.6699 0.9170 x9
O 0.0008 0.1926 0.8085 x9
O 0.0017 0.8047 0.3100 x9
O 0.0055 0.2005 0.6884 x9
O 0.0077 0.8062 0.1903 x9
O 0.0159 0.8324 0.9215 x9
O 0.0215 0.1867 0.4205 x9
O 0.1695 0.4818 0.7445 x9
O 0.1721 0.6867 0.2458 x9

Principal peaks in the range 2θ from 5° to 70°, low angle first:
| 2θ (°) | Rel. int. | (hkl) |
| --- | --- | --- |
| 20.5 | 100 | 1 1 0 |
| 24.0 | 74 | 2 -1 3 |
| 32.6 | 67 | 1 1 6 |
| 35.8 | 39 | 3 0 0 |
| 46.7 | 24 | 3 -2 8 |
| 49.2 | 25 | 4 -2 6 |
| 56.1 | 35 | 1 4 0 |
| 62.3 | 21 | 4 1 6 |

No. 2
Diffraction record for MnFe3Sn2P6O24. The XRD peak list is computed, not measured: it uses a GGA+U-relaxed structure and CuKα.
Lines closer than 0.1° are merged.

Crystal structure
Cell lengths 8.7531, 8.7531, 21.2079 Å; angles 90.00, 90.00, 120.00 degrees
Space group R3 (No. 146, hexagonal axes)
Inequivalent atoms, fractional coordinates:
Mn 0.0000 0.0000 0.0000 x3
Fe 0.0000 0.0000 0.1976 x3
Fe 0.0000 0.0000 0.4956 x3
Fe 0.0000 0.0000 0.6955 x3
Sn 0.0000 0.0000 0.3480 x3
Sn 0.0000 0.0000 0.8479 x3
P 0.0346 0.3663 0.7653 x9
P 0.0389 0.6672 0.2611 x9
O 0.0028 0.1984 0.1567 x9
O 0.0104 0.8055 0.6552 x9
O 0.0111 0.1739 0.7745 x9
O 0.0121 0.8307 0.2684 x9
O 0.1222 0.4471 0.7034 x9
O 0.1457 0.6826 0.2028 x9
O 0.1598 0.4918 0.0949 x9
O 0.1667 0.6829 0.5844 x9

Principal peaks in the range 2θ from 5° to 70°, low angle first:
| 2θ (°) | Rel. int. | (hkl) |
| --- | --- | --- |
| 20.3 | 100 | 1 1 0 |
| 23.9 | 62 | 1 1 3 |
| 24.9 | 26 | 2 0 2 |
| 32.6 | 94 | 1 1 6 |
| 35.5 | 44 | 3 0 0 |
| 46.7 | 26 | 1 2 8 |
| 49.0 | 37 | 2 2 6 |
| 61.9 | 30 | 4 1 6 |

No. 3
Diffraction record for Mn3FeSn2P6O24. The XRD peak list is computed, not measured: it uses a GGA+U-relaxed structure and CuKα.
Lines closer than 0.1° are merged.

Crystal structure
Cell lengths 8.8114, 8.8114, 20.7545 Å; angles 90.00, 90.00, 120.00 degrees
Space group R3 (No. 146, hexagonal axes)
Inequivalent atoms, fractional coordinates:
Mn 0.0000 0.0000 0.0000 x3
Mn 0.0000 0.0000 0.1944 x3
Mn 0.0000 0.0000 0.6956 x3
Fe 0.0000 0.0000 0.4973 x3
Sn 0.0000 0.0000 0.3460 x3
Sn 0.0000 0.0000 0.8466 x3
P 0.0008 0.6952 0.0970 x9
P 0.0341 0.3668 0.2631 x9
O 0.0003 0.8328 0.4215 x9
O 0.0039 0.1743 0.2733 x9
O 0.0108 0.7941 0.1578 x9
O 0.0132 0.2175 0.6583 x9
O 0.1212 0.6752 0.7019 x9
O 0.1454 0.4597 0.2040 x9
O 0.1613 0.4878 0.5827 x9
O 0.1645 0.6718 0.4411 x9

Principal peaks in the range 2θ from 5° to 70°, low angle first:
| 2θ (°) | Rel. int. | (hkl) |
| --- | --- | --- |
| 14.4 | 30 | 0 1 2 |
| 20.2 | 100 | 1 1 0 |
| 23.9 | 67 | 2 -1 3 |
| 24.9 | 26 | 2 0 2 |
| 32.9 | 95 | 2 -1 6 |
| 35.3 | 49 | 3 0 0 |
| 49.0 | 39 | 4 -2 6 |
| 61.8 | 35 | 5 -4 6 |

No. 4
Diffraction record for TiMnFeP3O12. The XRD peak list is computed, not measured: it uses a GGA+U-relaxed structure and CuKα.
Lines closer than 0.1° are merged.

Crystal structure
Cell lengths 8.6498, 8.6498, 21.1939 Å; angles 90.00, 90.00, 120.00 degrees
Space group R3c (No. 161, hexagonal axes)
Inequivalent atoms, fractional coordinates:
Ti 0.0000 0.0000 0.0000 x6
Mn 0.0000 0.0000 0.3523 x6
Fe 0.0000 0.0000 0.2088 x6
P 0.9998 0.2932 0.1054 x18
O 0.0019 0.1895 0.0452 x18
O 0.0022 0.1955 0.1646 x18
O 0.0199 0.1858 0.7758 x18
O 0.1703 0.4818 0.0998 x18

Principal peaks in the range 2θ from 5° to 70°, low angle first:
| 2θ (°) | Rel. int. | (hkl) |
| --- | --- | --- |
| 20.5 | 82 | 1 1 0 |
| 24.1 | 100 | 1 1 3 |
| 32.7 | 76 | 1 1 6 |
| 36.0 | 35 | 3 0 0 |
| 47.0 | 26 | 1 2 8 |
| 49.4 | 28 | 2 2 6 |
| 56.3 | 35 | 4 1 0 |
| 62.6 | 25 | 0 1 14 |

No. 5
Diffraction record for MnV2Fe3P6O24. The XRD peak list is computed, not measured: it uses a GGA+U-relaxed structure and CuKα.
Lines closer than 0.1° are merged.

Crystal structure
Cell lengths 8.6653, 8.6653, 20.4360 Å; angles 90.00, 90.00, 120.00 degrees
Space group R3 (No. 146, hexagonal axes)
Inequivalent atoms, fractional coordinates:
Mn 0.0000 0.0000 0.0000 x3
V 0.0000 0.0000 0.3548 x3
V 0.0000 0.0000 0.8548 x3
Fe 0.0000 0.0000 0.2074 x3
Fe 0.0000 0.0000 0.5005 x3
Fe 0.0000 0.0000 0.7079 x3
P 0.9999 0.7031 0.6039 x9
P 0.0009 0.2985 0.1039 x9
O 0.0082 0.8309 0.2819 x9
O 0.0100 0.1774 0.7826 x9
O 0.0130 0.8077 0.6656 x9
O 0.0145 0.2048 0.1649 x9
O 0.1327 0.4568 0.7081 x9
O 0.1428 0.6796 0.2096 x9
O 0.1661 0.4917 0.0939 x9
O 0.1666 0.6792 0.5906 x9

Principal peaks in the range 2θ from 5° to 70°, low angle first:
| 2θ (°) | Rel. int. | (hkl) |
| --- | --- | --- |
| 20.5 | 76 | 1 1 0 |
| 24.3 | 100 | 1 1 3 |
| 33.5 | 67 | 1 1 6 |
| 35.9 | 38 | 3 0 0 |
| 47.9 | 24 | 1 2 8 |
| 49.9 | 27 | 2 2 6 |
| 56.2 | 22 | 1 4 0 |
| 63.0 | 21 | 4 1 6 |

No. 6
Diffraction record for MnV4FePb4O18. The XRD peak list is computed, not measured: it uses a GGA+U-relaxed structure and CuKα.
Lines closer than 0.1° are merged.

Crystal structure
Cell lengths 6.076, 7.988, 8.977 Å; angles 112.70, 90.20, 90.92 degrees
Space group P-1 (No. 2)
Inequivalent atoms, fractional coordinates:
Mn 0.000 0.000 0.000 x1
V 0.244 0.433 0.175 x2
V 0.250 0.035 0.335 x2
Fe 0.500 0.000 0.000 x1
Pb 0.251 0.283 0.745 x2
Pb 0.254 0.683 0.612 x2
O 0.010 0.979 0.207 x2
O 0.014 0.509 0.298 x2
O 0.237 0.185 0.068 x2
O 0.246 0.919 0.457 x2
O 0.249 0.525 0.036 x2
O 0.250 0.845 0.925 x2
O 0.252 0.264 0.454 x2
O 0.482 0.502 0.296 x2
O 0.493 0.986 0.213 x2

Principal peaks in the range 2θ from 5° to 70°, low angle first:
| 2θ (°) | Rel. int. | (hkl) |
| --- | --- | --- |
| 18.0 | 52 | 1 0 -1 |
| 18.2 | 55 | 1 0 1 |
| 26.6 | 100 | 1 -2 1 |
| 26.9 | 94 | 1 2 -1 |
| 29.4 | 76 | 2 0 0 |
| 29.9 | 62 | 0 1 -3 |
| 32.0 | 53 | -1 1 2 |
| 32.4 | 55 | 1 1 2 |